The following is a computed powder XRD pattern of MgV2O2F6. It was derived from the GGA+U geometry in the Materials Project, using Cu Ka.

Principal peaks in the range 2θ from 15° to 90°, low angle first:
(0 0 1), 16.3 deg, I = 100
(1 -1 1), 25.6 deg, I = 87
(1 1 -1), 25.6 deg, I = 41
(0 2 -1), 33.2 deg, I = 15
(1 1 1), 34.7 deg, I = 17
(1 0 -2), 37.7 deg, I = 21
(2 1 0), 40.5 deg, I = 22
(1 -2 2), 41.6 deg, I = 20
(-1 1 2), 48.6 deg, I = 16
(3 1 -2), 63.6 deg, I = 18

Atomic structure:
Cell lengths 5.0239, 5.3961, 6.0468 Å; angles 116.10, 90.05, 90.11 degrees
Positions (direct):
1 Mg 0.0000 0.0000 0.0000
2 V 0.0051 0.3867 0.6656
3 V 0.4988 0.9343 0.6229
4 O 0.3211 0.1699 0.5625
5 O 0.8335 0.1710 0.7608
6 F 0.1362 0.6411 0.9797
7 F 0.2055 0.6656 0.5653
8 F 0.3646 0.0944 0.9635
9 F 0.6617 0.7151 0.3383
10 F 0.7339 0.7026 0.7700
11 F 0.8867 0.2253 0.3286

The following is a computed powder XRD pattern of MgV4O4F8. It was derived from the GGA+U geometry in the Materials Project, using Cu Ka.

Principal peaks in the range 2θ from 15° to 90°, low angle first:
(1 0 -1), 23.3 deg, I = 100
(1 1 2), 24.2 deg, I = 56
(1 -1 0), 32.9 deg, I = 14
(1 2 1), 33.8 deg, I = 24
(1 2 -1), 39.7 deg, I = 16
(0 2 -2), 47.5 deg, I = 13
(2 0 -2), 47.6 deg, I = 15
(2 2 4), 49.6 deg, I = 14
(-2 1 1), 53.3 deg, I = 15
(2 1 -3), 54.0 deg, I = 21

Atomic structure:
Cell lengths 5.1450, 5.3088, 9.3144 Å; angles 74.05, 75.60, 62.86 degrees
Positions (direct):
1 Mg 0.0000 0.0000 0.0000
2 V 0.0939 0.1396 0.6211
3 V 0.3217 0.3969 0.8654
4 V 0.5339 0.6269 0.1430
5 V 0.8525 0.8947 0.3812
6 O 0.1350 0.8597 0.2040
7 O 0.1947 0.1797 0.8037
8 O 0.3695 0.5923 0.9783
9 O 0.9412 0.0760 0.4719
10 F 0.0707 0.7651 0.7539
11 F 0.0921 0.5085 0.4935
12 F 0.4983 0.9115 0.5391
13 F 0.5724 0.2345 0.2572
14 F 0.6066 0.0113 0.9981
15 F 0.6650 0.3489 0.7162
16 F 0.7107 0.6706 0.2910
17 F 0.9418 0.4027 0.0304

The following is a computed powder XRD pattern of MgV4O4F8. It was derived from the GGA+U geometry in the Materials Project, using Cu Ka.

Principal peaks in the range 2θ from 15° to 90°, low angle first:
(0 0 2), 23.0 deg, I = 94
(1 -1 0), 24.2 deg, I = 98
(1 1 0), 24.3 deg, I = 100
(1 -1 2), 32.7 deg, I = 59
(0 2 0), 33.8 deg, I = 25
(2 1 -1), 40.6 deg, I = 29
(0 0 4), 47.0 deg, I = 24
(2 -2 0), 49.5 deg, I = 22
(2 2 -2), 54.1 deg, I = 34
(1 3 0), 55.1 deg, I = 21

Atomic structure:
Cell lengths 5.0881, 5.3193, 7.7643 Å; angles 94.62, 90.39, 90.28 degrees
Positions (direct):
1 Mg 0.0000 0.0000 0.0000
2 V 0.0109 0.5876 0.2216
3 V 0.0143 0.5893 0.6992
4 V 0.5107 0.1016 0.2244
5 V 0.5221 0.0962 0.7081
6 O 0.1944 0.8825 0.2343
7 O 0.2109 0.3250 0.6720
8 O 0.8290 0.9019 0.7714
9 O 0.8366 0.2919 0.1499
10 F 0.1187 0.6204 0.9579
11 F 0.3098 0.8043 0.6342
12 F 0.3218 0.4142 0.2944
13 F 0.3745 0.1100 0.9684
14 F 0.6369 0.0892 0.4574
15 F 0.7064 0.4103 0.7764
16 F 0.7126 0.7930 0.1349
17 F 0.8820 0.5976 0.4566

The following is a computed powder XRD pattern of MgV4O4F8. It was derived from the GGA+U geometry in the Materials Project, using Cu Ka.

Principal peaks in the range 2θ from 15° to 90°, low angle first:
(0 1 -1), 23.2 deg, I = 100
(1 1 2), 24.3 deg, I = 46
(1 1 -2), 32.3 deg, I = 10
(0 1 3), 33.0 deg, I = 11
(1 0 3), 33.1 deg, I = 13
(1 2 1), 34.6 deg, I = 11
(2 1 -1), 39.3 deg, I = 25
(0 2 -2), 47.5 deg, I = 13
(2 2 4), 49.7 deg, I = 9
(1 2 5), 54.5 deg, I = 11

Atomic structure:
Cell lengths 5.1895, 5.1963, 9.4832 Å; angles 76.27, 76.56, 61.50 degrees
Positions (direct):
1 Mg 0.0000 0.0000 0.0000
2 V 0.1640 0.0918 0.6832
3 V 0.3382 0.3626 0.9518
4 V 0.5321 0.6239 0.2174
5 V 0.8468 0.8573 0.4537
6 O 0.2302 0.8170 0.3310
7 O 0.2852 0.1282 0.8429
8 O 0.3320 0.6136 0.0764
9 O 0.4750 0.8920 0.5741
10 F 0.0810 0.4924 0.5885
11 F 0.0971 0.7552 0.8301
12 F 0.6129 0.2239 0.3151
13 F 0.6138 0.9631 0.0792
14 F 0.7296 0.3027 0.8427
15 F 0.8290 0.6171 0.3255
16 F 0.8722 0.1096 0.5704
17 F 0.9545 0.3467 0.0828

The following is a computed powder XRD pattern of MgV4O7F5. It was derived from the GGA+U geometry in the Materials Project, using Cu Ka.

Principal peaks in the range 2θ from 15° to 90°, low angle first:
(1 1 0), 23.3 deg, I = 99
(1 -1 0), 23.9 deg, I = 100
(0 0 2), 24.2 deg, I = 92
(0 2 0), 32.9 deg, I = 22
(1 1 2), 33.2 deg, I = 22
(-1 1 2), 33.6 deg, I = 25
(2 2 0), 47.5 deg, I = 26
(2 -2 0), 49.0 deg, I = 22
(-2 2 2), 54.5 deg, I = 24
(-1 1 4), 54.9 deg, I = 25

Atomic structure:
Cell lengths 5.2333, 5.4495, 7.3744 Å; angles 87.06, 89.96, 88.38 degrees
Positions (direct):
1 Mg 0.0000 0.0000 0.0000
2 V 0.0031 0.5789 0.7937
3 V 0.0602 0.5934 0.2970
4 V 0.4769 0.1079 0.2739
5 V 0.5134 0.0850 0.7625
6 O 0.0815 0.6194 0.0579
7 O 0.1924 0.3067 0.3447
8 O 0.2579 0.3771 0.7599
9 O 0.2874 0.7970 0.3486
10 O 0.3706 0.0832 0.0500
11 O 0.5804 0.1046 0.5396
12 O 0.7404 0.8203 0.8409
13 F 0.2051 0.8888 0.7509
14 F 0.6898 0.3914 0.2425
15 F 0.7908 0.2849 0.8712
16 F 0.8074 0.9252 0.2305
17 F 0.8814 0.6002 0.5337

The following is a computed powder XRD pattern of MgV4O7F5. It was derived from the GGA+U geometry in the Materials Project, using Cu Ka.

Principal peaks in the range 2θ from 15° to 90°, low angle first:
(0 0 2), 23.1 deg, I = 100
(1 1 0), 24.3 deg, I = 96
(1 -1 0), 24.6 deg, I = 100
(1 1 2), 32.8 deg, I = 28
(-1 1 2), 33.0 deg, I = 27
(0 2 0), 34.3 deg, I = 23
(1 0 3), 39.3 deg, I = 24
(0 0 4), 47.2 deg, I = 31
(2 2 0), 49.8 deg, I = 21
(2 -2 0), 50.4 deg, I = 20

Atomic structure:
Cell lengths 5.0776, 5.2447, 7.7278 Å; angles 85.70, 89.98, 89.36 degrees
Positions (direct):
1 Mg 0.0000 0.0000 0.0000
2 V 0.0188 0.4166 0.2294
3 V 0.5005 0.8788 0.2328
4 V 0.5093 0.9433 0.7080
5 V 0.9851 0.4433 0.7107
6 O 0.2018 0.1195 0.2443
7 O 0.2080 0.6841 0.6773
8 O 0.3008 0.1933 0.6734
9 O 0.3277 0.6084 0.2783
10 O 0.7105 0.6090 0.7604
11 O 0.8237 0.1068 0.7781
12 O 0.8377 0.7126 0.1594
13 F 0.1068 0.3920 0.9649
14 F 0.3837 0.8991 0.9741
15 F 0.6298 0.9276 0.4629
16 F 0.7132 0.1968 0.1504
17 F 0.8910 0.4098 0.4676

- Number 6 is which compound?
  MgV4O7F5

What did the fourth record say?
The following is a computed powder XRD pattern of MgV4O4F8. It was derived from the GGA+U geometry in the Materials Project, using Cu Ka.

Principal peaks in the range 2θ from 15° to 90°, low angle first:
(0 1 -1), 23.2 deg, I = 100
(1 1 2), 24.3 deg, I = 46
(1 1 -2), 32.3 deg, I = 10
(0 1 3), 33.0 deg, I = 11
(1 0 3), 33.1 deg, I = 13
(1 2 1), 34.6 deg, I = 11
(2 1 -1), 39.3 deg, I = 25
(0 2 -2), 47.5 deg, I = 13
(2 2 4), 49.7 deg, I = 9
(1 2 5), 54.5 deg, I = 11

Atomic structure:
Cell lengths 5.1895, 5.1963, 9.4832 Å; angles 76.27, 76.56, 61.50 degrees
Positions (direct):
1 Mg 0.0000 0.0000 0.0000
2 V 0.1640 0.0918 0.6832
3 V 0.3382 0.3626 0.9518
4 V 0.5321 0.6239 0.2174
5 V 0.8468 0.8573 0.4537
6 O 0.2302 0.8170 0.3310
7 O 0.2852 0.1282 0.8429
8 O 0.3320 0.6136 0.0764
9 O 0.4750 0.8920 0.5741
10 F 0.0810 0.4924 0.5885
11 F 0.0971 0.7552 0.8301
12 F 0.6129 0.2239 0.3151
13 F 0.6138 0.9631 0.0792
14 F 0.7296 0.3027 0.8427
15 F 0.8290 0.6171 0.3255
16 F 0.8722 0.1096 0.5704
17 F 0.9545 0.3467 0.0828

Repeat the sixth record exactly.
The following is a computed powder XRD pattern of MgV4O7F5. It was derived from the GGA+U geometry in the Materials Project, using Cu Ka.

Principal peaks in the range 2θ from 15° to 90°, low angle first:
(0 0 2), 23.1 deg, I = 100
(1 1 0), 24.3 deg, I = 96
(1 -1 0), 24.6 deg, I = 100
(1 1 2), 32.8 deg, I = 28
(-1 1 2), 33.0 deg, I = 27
(0 2 0), 34.3 deg, I = 23
(1 0 3), 39.3 deg, I = 24
(0 0 4), 47.2 deg, I = 31
(2 2 0), 49.8 deg, I = 21
(2 -2 0), 50.4 deg, I = 20

Atomic structure:
Cell lengths 5.0776, 5.2447, 7.7278 Å; angles 85.70, 89.98, 89.36 degrees
Positions (direct):
1 Mg 0.0000 0.0000 0.0000
2 V 0.0188 0.4166 0.2294
3 V 0.5005 0.8788 0.2328
4 V 0.5093 0.9433 0.7080
5 V 0.9851 0.4433 0.7107
6 O 0.2018 0.1195 0.2443
7 O 0.2080 0.6841 0.6773
8 O 0.3008 0.1933 0.6734
9 O 0.3277 0.6084 0.2783
10 O 0.7105 0.6090 0.7604
11 O 0.8237 0.1068 0.7781
12 O 0.8377 0.7126 0.1594
13 F 0.1068 0.3920 0.9649
14 F 0.3837 0.8991 0.9741
15 F 0.6298 0.9276 0.4629
16 F 0.7132 0.1968 0.1504
17 F 0.8910 0.4098 0.4676